Starting from DFT lattice parameters and positions (GGA+U), the X-ray powder pattern of CsCrFeF6 was simulated for Cu Kα.

Top 6 peaks for 2θ = 5–70°, in order of rising 2θ:
two_theta	intensity	h k l
23.54	37	1 1 2
23.75	18	0 2 0
27.52	51	1 0 3
27.89	100	2 1 1
29.02	25	0 2 2
48.15	38	2 2 4

Cell and atoms:
Unit cell a=7.477 b=7.506 c=10.787 alpha=90.00 beta=90.00 gamma=90.00
Space group Imma (No. 74)
Asymmetric unit:
Cs: 0.000 0.250 0.129
Cr: 0.250 0.250 0.750
Fe: 0.000 0.000 0.500
F: 0.000 0.250 0.422
F: 0.000 0.250 0.811
F: 0.203 0.064 0.629